The following is a theoretical powder XRD pattern of Sr3Co2Cl2O4. It was derived from DFT lattice parameters and positions (GGA+U), using Cu Kα, 1.54184 Å.

Cell lengths 11.2543, 11.2543, 11.2543 Å; angles 159.28, 159.28, 29.47 degrees
Sites, in units of the cell vectors:
Sr (0.0000, 0.0000, 0.0000)
Sr (0.1525, 0.1525, 0.0000)
Sr (0.8475, 0.8475, 0.0000)
Co (0.4184, 0.4184, 0.0000)
Co (0.5816, 0.5816, 0.0000)
Cl (0.2973, 0.2973, 0.0000)
Cl (0.7027, 0.7027, 0.0000)
O (0.0787, 0.5787, 0.5000)
O (0.4213, 0.9213, 0.5000)
O (0.5787, 0.0787, 0.5000)
O (0.9213, 0.4213, 0.5000)

Largest 10 diffraction maxima, sorted by position, 10° ≤ 2θ ≤ 90°:
Position (°2θ)	intensity
16.29	12
30.14	17
31.24	66
36.43	100
40.12	16
44.77	41
59.04	46
65.18	12
74.05	11
77.03	10